Computed powder diffractogram
Compound: Nd2Ho2CICl4
Radiation: copper Kα
Structure: DFT lattice parameters and positions (GGA-PBE)
Peak positions follow from Bragg's law for the DFT cell and can differ from measured ones.

Peak list (10 most intense, 2θ from 10° to 90°, low angle first)
- 10.55°, d 8.384, I = 91
- 10.92°, d 8.104, I = 57
- 28.63°, d 3.118, I = 34
- 31.52°, d 2.838, I = 100
- 31.92°, d 2.804, I = 39
- 32.03°, d 2.795, I = 51
- 33.13°, d 2.704, I = 24
- 37.69°, d 2.386, I = 21
- 44.98°, d 2.015, I = 28
- 46.12°, d 1.968, I = 31

Cell and atoms:
Unit cell a=8.930 b=8.930 c=8.430 alpha=105.60 beta=105.60 gamma=24.84
Fractional coordinates of all 10 atoms:
Nd: 0.149 0.149 0.088
Nd: 0.851 0.851 0.912
Ho: 0.500 0.500 0.192
Ho: 0.500 0.500 0.808
C: 0.000 0.000 0.000
I: 0.000 0.000 0.500
Cl: 0.335 0.335 0.156
Cl: 0.340 0.340 0.661
Cl: 0.660 0.660 0.339
Cl: 0.665 0.665 0.844